1.
The following is a computed PXRD pattern of CeTc2P2Rh. It was derived from DFT lattice parameters and positions (PBE), using Cu Kα, 1.54184 Å.
Lines closer than 0.1° are merged.

Largest 10 diffraction maxima, low angle first, 10° ≤ 2θ ≤ 80°:
two_theta  d_spacing  intensity
28.18  3.167  19.8
35.13  2.555  55.9
36.07  2.490  100.0
37.34  2.408  56.5
39.88  2.260  30.1
42.94  2.106  29.1
44.99  2.015  39.1
61.66  1.504  16.5
63.94  1.456  17.4
77.12  1.237  23.1

Crystal structure
Unit cell a=4.030 b=7.217 c=6.606 alpha=90.00 beta=90.00 gamma=90.00
Fractional positions:
Ce  0.000  0.092  0.000
Ce  0.000  0.908  0.500
Tc  0.000  0.318  0.390
Tc  0.000  0.682  0.890
Tc  0.500  0.429  0.093
Tc  0.500  0.571  0.593
P  0.000  0.407  0.723
P  0.000  0.593  0.223
P  0.500  0.158  0.308
P  0.500  0.842  0.808
Rh  0.500  0.198  0.692
Rh  0.500  0.802  0.192

---

2.
The following is a computed PXRD pattern of Li2SiTc. It was derived from DFT lattice parameters and positions (PBE), using Cu Kα, 1.54184 Å.
Lines closer than 0.1° are merged.

Largest 10 diffraction maxima, low angle first, 10° ≤ 2θ ≤ 80°:
two_theta  d_spacing  intensity
19.11  4.645  100.0
23.68  3.758  40.2
33.43  2.680  17.6
36.33  2.473  14.7
38.77  2.322  21.2
38.93  2.313  30.7
43.72  2.071  60.1
44.08  2.054  14.7
48.45  1.879  16.1
56.12  1.639  20.7

Crystal structure
Unit cell a=10.151 b=2.799 c=4.109 alpha=90.00 beta=113.77 gamma=90.00
Fractional positions:
Li  0.237  0.000  0.237
Li  0.263  0.500  0.763
Li  0.737  0.500  0.237
Li  0.763  0.000  0.763
Si  0.000  0.500  0.000
Si  0.500  0.000  0.000
Tc  0.000  0.000  0.500
Tc  0.500  0.500  0.500

---

3.
The following is a computed PXRD pattern of La8Dy5Pu. It was derived from DFT lattice parameters and positions (PBE), using Cu Kα, 1.54184 Å.
Lines closer than 0.1° are merged.

Largest 10 diffraction maxima, low angle first, 10° ≤ 2θ ≤ 80°:
two_theta  d_spacing  intensity
28.69  3.112  29.2
29.63  3.015  41.2
31.36  2.853  60.1
31.76  2.818  100.0
31.99  2.797  46.9
33.17  2.701  23.2
33.65  2.663  45.4
35.29  2.543  27.5
50.70  1.800  14.4
51.46  1.776  14.6

Crystal structure
Unit cell a=8.650 b=8.650 c=9.626 alpha=122.64 beta=122.64 gamma=61.38
Fractional positions:
La  0.041  0.041  0.205
La  0.070  0.431  0.158
La  0.239  0.444  0.878
La  0.483  0.130  0.541
La  0.556  0.761  0.122
La  0.569  0.930  0.842
La  0.870  0.517  0.459
La  0.959  0.959  0.795
Dy  0.020  0.980  0.500
Dy  0.312  0.597  0.626
Dy  0.403  0.688  0.374
Dy  0.574  0.229  0.265
Dy  0.771  0.426  0.735
Pu  0.680  0.320  0.000